Entry 1:
For PaTeCl3, the GGA-PBE geometry in Alexandria gives the computed powder X-ray diffraction pattern in this record (Cu Kα (λ = 1.5418 Å)).
Kinematic intensities with the Lorentz-polarization factor, no thermal factor.

Structure:
a = 7.1783 Å, b = 8.0172 Å, c = 13.6383 Å
α = 90.00°, β = 97.55°, γ = 90.00°
Space group P2/c (No. 13)
Asymmetric unit:
Pa 0.0844 0.1340 0.1345 (multiplicity 4)
Te 0.1749 0.4153 0.3035 (multiplicity 4)
Cl 0.1431 0.1661 0.5436 (multiplicity 4)
Cl 0.2245 0.0350 0.8010 (multiplicity 4)
Cl 0.3595 0.2606 0.0607 (multiplicity 4)

Most intense lines, 10 to 80 degrees two-theta, in order of rising 2θ:
12.44 deg, 7.116 Å, I 100; 12.84 deg, 6.896 Å, I 95; 18.51 deg, 4.794 Å, I 33; 29.87 deg, 2.992 Å, I 27; 31.38 deg, 2.851 Å, I 39; 35.01 deg, 2.563 Å, I 29

---

Entry 2:
For La2InPb, the GGA-PBE geometry in Alexandria gives the computed powder X-ray diffraction pattern in this record (Cu Kα (λ = 1.5418 Å)).
Kinematic intensities with the Lorentz-polarization factor, no thermal factor.

Structure:
a = 7.3007 Å, b = 9.1344 Å, c = 7.4376 Å
α = 90.00°, β = 90.00°, γ = 90.00°
Space group Imma (No. 74)
Asymmetric unit:
La 0.2500 0.0202 0.2500 (multiplicity 8)
In 0.0000 0.2500 0.5289 (multiplicity 4)
Pb 0.0000 0.2500 0.9674 (multiplicity 4)

Most intense lines, 10 to 80 degrees two-theta, in order of rising 2θ:
31.01 deg, 2.884 Å, I 95; 31.37 deg, 2.851 Å, I 100; 34.43 deg, 2.605 Å, I 74; 39.46 deg, 2.284 Å, I 25; 53.35 deg, 1.717 Å, I 38; 59.98 deg, 1.542 Å, I 29

---

Entry 3:
For Nb2CrCo3, the GGA-PBE geometry in Alexandria gives the computed powder X-ray diffraction pattern in this record (Cu Kα (λ = 1.5418 Å)).
Kinematic intensities with the Lorentz-polarization factor, no thermal factor.

Structure:
a = 4.8446 Å, b = 4.8446 Å, c = 11.5441 Å
α = 90.00°, β = 90.00°, γ = 120.00°
Space group R-3m (No. 166, hexagonal axes)
Asymmetric unit:
Nb 0.0000 0.0000 0.1262 (multiplicity 6)
Cr 0.0000 0.0000 0.5000 (multiplicity 3)
Co 0.0000 0.5000 0.0000 (multiplicity 9)

Most intense lines, 10 to 80 degrees two-theta, in order of rising 2θ:
37.12 deg, 2.422 Å, I 43; 37.84 deg, 2.378 Å, I 49; 43.86 deg, 2.064 Å, I 57; 44.18 deg, 2.050 Å, I 100; 44.81 deg, 2.023 Å, I 45; 46.03 deg, 1.972 Å, I 38

---

Entry 4:
For YNbRu, the GGA-PBE geometry in Alexandria gives the computed powder X-ray diffraction pattern in this record (Cu Kα (λ = 1.5418 Å)).
Kinematic intensities with the Lorentz-polarization factor, no thermal factor.

Structure:
a = 4.6848 Å, b = 14.9831 Å, c = 3.3499 Å
α = 90.00°, β = 90.00°, γ = 90.00°
Space group Cmmm (No. 65)
Asymmetric unit:
Y 0.0000 0.1744 0.0000 (multiplicity 4)
Nb 0.0000 0.0000 0.5000 (multiplicity 2)
Nb 0.0000 0.5000 0.0000 (multiplicity 2)
Ru 0.0000 0.3561 0.5000 (multiplicity 4)

Most intense lines, 10 to 80 degrees two-theta, in order of rising 2θ:
35.96 deg, 2.497 Å, I 26; 37.60 deg, 2.392 Å, I 100; 38.43 deg, 2.342 Å, I 25; 53.65 deg, 1.708 Å, I 16; 65.73 deg, 1.421 Å, I 10; 68.95 deg, 1.362 Å, I 25

---

Entry 5:
For Li4Tm3InTe8, the GGA-PBE geometry in Alexandria gives the computed powder X-ray diffraction pattern in this record (Cu Kα (λ = 1.5418 Å)).
Kinematic intensities with the Lorentz-polarization factor, no thermal factor.

Structure:
a = 8.5922 Å, b = 8.5922 Å, c = 21.1261 Å
α = 90.00°, β = 90.00°, γ = 120.00°
Space group R-3m (No. 166, hexagonal axes)
Asymmetric unit:
Li 0.0000 0.0000 0.0000 (multiplicity 3)
Li 0.0000 0.5000 0.0000 (multiplicity 9)
Tm 0.0000 0.5000 0.5000 (multiplicity 9)
In 0.0000 0.0000 0.5000 (multiplicity 3)
Te 0.0000 0.0000 0.2509 (multiplicity 6)
Te 0.0018 0.5009 0.2507 (multiplicity 18)

Most intense lines, 10 to 80 degrees two-theta, in order of rising 2θ:
12.57 deg, 7.042 Å, I 31; 24.29 deg, 3.664 Å, I 22; 29.36 deg, 3.042 Å, I 100; 41.95 deg, 2.153 Å, I 38; 42.06 deg, 2.148 Å, I 38; 52.13 deg, 1.755 Å, I 20

---

Entry 6:
For PrCu6Pd2, the GGA-PBE geometry in Alexandria gives the computed powder X-ray diffraction pattern in this record (Cu Kα (λ = 1.5418 Å)).
Kinematic intensities with the Lorentz-polarization factor, no thermal factor.

Structure:
a = 5.1133 Å, b = 5.1133 Å, c = 6.9974 Å
α = 90.00°, β = 90.00°, γ = 120.00°
Space group P6/mmm (No. 191)
Asymmetric unit:
Pr 0.0000 0.0000 0.0000 (multiplicity 1)
Cu 0.0000 0.5000 0.1995 (multiplicity 6)
Pd 0.3333 0.6667 0.5000 (multiplicity 2)

Most intense lines, 10 to 80 degrees two-theta, in order of rising 2θ:
23.78 deg, 3.742 Å, I 63; 40.75 deg, 2.214 Å, I 35; 42.84 deg, 2.111 Å, I 44; 43.86 deg, 2.064 Å, I 100; 48.67 deg, 1.871 Å, I 18; 69.07 deg, 1.360 Å, I 34

---

Entry 7:
For Na3H7Os, the GGA-PBE geometry in Alexandria gives the computed powder X-ray diffraction pattern in this record (Cu Kα (λ = 1.5418 Å)).
Kinematic intensities with the Lorentz-polarization factor, no thermal factor.

Structure:
a = 9.4867 Å, b = 9.4867 Å, c = 5.2334 Å
α = 90.00°, β = 90.00°, γ = 90.00°
Space group P4_2/mnm (No. 136)
Asymmetric unit:
Na 0.0326 0.3021 0.0000 (multiplicity 8)
Na 0.1169 0.8831 0.5000 (multiplicity 4)
H 0.0668 0.3252 0.5000 (multiplicity 8)
H 0.1022 0.1022 0.3006 (multiplicity 8)
H 0.1733 0.8267 0.0000 (multiplicity 4)
H 0.2414 0.2414 0.1997 (multiplicity 8)
Os 0.2013 0.2013 0.5000 (multiplicity 4)

Most intense lines, 10 to 80 degrees two-theta, in order of rising 2θ:
18.71 deg, 4.743 Å, I 70; 20.94 deg, 4.243 Å, I 41; 21.54 deg, 4.126 Å, I 100; 33.10 deg, 2.707 Å, I 60; 34.46 deg, 2.603 Å, I 46; 38.29 deg, 2.351 Å, I 28

---

Entry 8:
For Rb5As2Au, the GGA-PBE geometry in Alexandria gives the computed powder X-ray diffraction pattern in this record (Cu Kα (λ = 1.5418 Å)).
Kinematic intensities with the Lorentz-polarization factor, no thermal factor.

Structure:
a = 6.0344 Å, b = 6.0344 Å, c = 28.3392 Å
α = 90.00°, β = 90.00°, γ = 120.00°
Space group R-3m (No. 166, hexagonal axes)
Asymmetric unit:
Rb 0.0000 0.0000 0.0000 (multiplicity 3)
Rb 0.0000 0.0000 0.1332 (multiplicity 6)
Rb 0.0000 0.0000 0.2826 (multiplicity 6)
As 0.0000 0.0000 0.4104 (multiplicity 6)
Au 0.0000 0.0000 0.5000 (multiplicity 3)

Most intense lines, 10 to 80 degrees two-theta, in order of rising 2θ:
18.09 deg, 4.903 Å, I 16; 27.88 deg, 3.200 Å, I 21; 29.61 deg, 3.017 Å, I 100; 30.49 deg, 2.932 Å, I 24; 36.05 deg, 2.491 Å, I 15; 52.53 deg, 1.742 Å, I 20

---

Entry 9:
For AgGe2Cl5, the GGA-PBE geometry in Alexandria gives the computed powder X-ray diffraction pattern in this record (Cu Kα (λ = 1.5418 Å)).
Kinematic intensities with the Lorentz-polarization factor, no thermal factor.

Structure:
a = 9.7630 Å, b = 7.2882 Å, c = 13.8940 Å
α = 90.00°, β = 106.89°, γ = 90.00°
Space group P2_1/c (No. 14)
Asymmetric unit:
Ag 0.0000 0.0000 0.0000 (multiplicity 2)
Ag 0.5000 0.0000 0.0000 (multiplicity 2)
Ge 0.1105 0.0612 0.3718 (multiplicity 4)
Ge 0.3554 0.0093 0.7013 (multiplicity 4)
Cl 0.0731 0.2047 0.2178 (multiplicity 4)
Cl 0.1223 0.6567 0.1034 (multiplicity 4)
Cl 0.2114 0.1737 0.9781 (multiplicity 4)
Cl 0.3860 0.6877 0.3425 (multiplicity 4)
Cl 0.4848 0.6789 0.1242 (multiplicity 4)

Most intense lines, 10 to 80 degrees two-theta, in order of rising 2θ:
19.00 deg, 4.671 Å, I 29; 21.95 deg, 4.050 Å, I 93; 23.49 deg, 3.787 Å, I 100; 36.21 deg, 2.481 Å, I 49; 37.54 deg, 2.396 Å, I 27; 41.54 deg, 2.174 Å, I 19

---

Entry 10:
For Tb9Pm2Mg, the GGA-PBE geometry in Alexandria gives the computed powder X-ray diffraction pattern in this record (Cu Kα (λ = 1.5418 Å)).
Kinematic intensities with the Lorentz-polarization factor, no thermal factor.

Structure:
a = 5.0166 Å, b = 5.0166 Å, c = 15.1162 Å
α = 90.00°, β = 90.00°, γ = 90.00°
Space group P4/mmm (No. 123)
Asymmetric unit:
Tb 0.0000 0.0000 0.0000 (multiplicity 1)
Tb 0.0000 0.0000 0.3286 (multiplicity 2)
Tb 0.0000 0.5000 0.1630 (multiplicity 4)
Tb 0.0000 0.5000 0.5000 (multiplicity 2)
Pm 0.5000 0.5000 0.3308 (multiplicity 2)
Mg 0.5000 0.5000 0.0000 (multiplicity 1)

Most intense lines, 10 to 80 degrees two-theta, in order of rising 2θ:
30.83 deg, 2.901 Å, I 100; 35.64 deg, 2.519 Å, I 17; 35.80 deg, 2.508 Å, I 34; 51.41 deg, 1.778 Å, I 24; 61.04 deg, 1.518 Å, I 14; 61.26 deg, 1.513 Å, I 28

---

Entry 11:
For KBiPb, the GGA-PBE geometry in Alexandria gives the computed powder X-ray diffraction pattern in this record (Cu Kα (λ = 1.5418 Å)).
Kinematic intensities with the Lorentz-polarization factor, no thermal factor.

Structure:
a = 6.6523 Å, b = 6.8604 Å, c = 9.5974 Å
α = 90.00°, β = 90.00°, γ = 90.00°
Space group Imm2 (No. 44)
Asymmetric unit:
K 0.0000 0.0000 0.0000 (multiplicity 2)
K 0.0000 0.5000 0.2502 (multiplicity 2)
Bi 0.0000 0.2516 0.6289 (multiplicity 4)
Pb 0.2483 0.5000 0.8724 (multiplicity 4)

Most intense lines, 10 to 80 degrees two-theta, in order of rising 2θ:
15.88 deg, 5.581 Å, I 86; 16.21 deg, 5.467 Å, I 84; 30.79 deg, 2.904 Å, I 100; 31.31 deg, 2.857 Å, I 63; 32.07 deg, 2.791 Å, I 92; 32.76 deg, 2.734 Å, I 87

---

Entry 12:
For BaPrCu, the GGA-PBE geometry in Alexandria gives the computed powder X-ray diffraction pattern in this record (Cu Kα (λ = 1.5418 Å)).
Kinematic intensities with the Lorentz-polarization factor, no thermal factor.

Structure:
a = 3.8323 Å, b = 3.8323 Å, c = 13.8735 Å
α = 90.00°, β = 90.00°, γ = 90.00°
Space group I4mm (No. 107)
Asymmetric unit:
Ba 0.0000 0.0000 0.0000 (multiplicity 2)
Pr 0.0000 0.0000 0.2583 (multiplicity 2)
Cu 0.0000 0.0000 0.6599 (multiplicity 2)

Most intense lines, 10 to 80 degrees two-theta, in order of rising 2θ:
24.09 deg, 3.694 Å, I 36; 30.29 deg, 2.951 Å, I 100; 33.06 deg, 2.710 Å, I 65; 40.12 deg, 2.247 Å, I 30; 42.33 deg, 2.135 Å, I 29; 57.33 deg, 1.607 Å, I 32